The following is a theoretical powder diffraction line list of Ca4P2Se. It was derived from a crystal structure in Alexandria, relaxed with GGA-PBE, using CuKα.
No peak broadening, texture or thermal motion is included.

Structural model:
```
Ca4P2Se
1.0
-4.2743 4.2743 6.0140
4.2743 -4.2743 6.0140
4.2743 4.2743 -6.0140
Ca P Se
8 4 2
Direct
0.2641 0.2943 0.5302
0.2641 0.7339 0.9698
0.2661 0.7359 0.5302
0.2943 0.2641 0.0302
0.7057 0.7359 0.9698
0.7339 0.2641 0.4698
0.7359 0.2661 0.0302
0.7359 0.7057 0.4698
0.0000 0.5000 0.5000
0.5000 0.0000 0.0000
0.5000 0.5000 0.0000
0.5000 0.5000 0.5000
0.1250 0.8750 0.2500
0.8750 0.1250 0.7500
```

Most intense lines, 2θ = 5–70°, by angle:
| 2theta | d/Å | I_rel |
| --- | --- | --- |
| 20.82 | 4.267 | 85.1 |
| 24.46 | 3.639 | 100.0 |
| 25.57 | 3.484 | 46.2 |
| 38.71 | 2.326 | 59.0 |
| 42.29 | 2.137 | 47.1 |
| 42.40 | 2.132 | 94.3 |